Record 1
Starting from DFT lattice parameters and positions (GGA-PBE), the PXRD pattern of Tb3NdTm2P6 was computed for Cu Kα X-rays.
No peak broadening, texture or thermal motion is included.

Most intense lines, 10° ≤ 2θ ≤ 90°, by intensity:
2theta	d_spacing	Rel. int.
31.4	2.847	100
27.1	3.288	87
45.0	2.013	73
53.4	1.717	42
74.5	1.273	33
55.9	1.644	26
83.1	1.162	25
72.3	1.306	17

Crystal structure
```
12
Lattice="3.487 -6.039 0.000 3.487 6.039 0.000 -2.325 0.000 6.576" Properties=species:S:1:pos:R:3 pbc="T T T"
Tb 0.000 0.000 0.000
Tb 3.487 1.997 0.000
Tb 3.487 -1.997 0.000
Nd 2.325 0.000 3.288
Tm 2.325 4.021 3.288
Tm 2.325 -4.021 3.288
P 1.137 2.056 1.646
P -0.050 0.000 4.924
P 1.137 -2.056 1.646
P 3.512 2.056 4.930
P 4.699 0.000 1.652
P 3.512 -2.056 4.930
```


Record 2
Starting from DFT lattice parameters and positions (GGA-PBE), the PXRD pattern of NdTc5P3 was computed for Cu Kα X-rays.
No peak broadening, texture or thermal motion is included.

Most intense lines, 10° ≤ 2θ ≤ 90°, by intensity:
2theta	d_spacing	Rel. int.
33.0	2.712	100
39.1	2.302	84
30.7	2.917	80
45.1	2.009	64
34.5	2.602	47
42.0	2.149	38
27.1	3.286	37
29.1	3.065	31

Crystal structure
```
18
Lattice="2.009 -6.360 0.000 2.009 6.360 0.000 0.000 0.000 11.515" Properties=species:S:1:pos:R:3 pbc="T T T"
Nd 2.009 4.151 8.636
Nd 2.009 -4.151 2.879
Tc 0.000 0.000 0.000
Tc 0.000 0.000 5.758
Tc 2.009 3.906 0.718
Tc 2.009 3.906 5.040
Tc 2.009 0.526 7.439
Tc 2.009 0.526 9.834
Tc 2.009 -0.526 1.681
Tc 2.009 -0.526 4.076
Tc 2.009 -3.906 6.475
Tc 2.009 -3.906 10.798
P 2.009 4.771 2.879
P 2.009 1.613 0.561
P 2.009 1.613 5.196
P 2.009 -1.613 6.319
P 2.009 -1.613 10.954
P 2.009 -4.771 8.636
```


Record 3
Starting from DFT lattice parameters and positions (GGA-PBE), the PXRD pattern of Nd5Te5P was computed for Cu Kα X-rays.
No peak broadening, texture or thermal motion is included.

Most intense lines, 10° ≤ 2θ ≤ 90°, by intensity:
2theta	d_spacing	Rel. int.
28.4	3.139	100
40.8	2.210	54
28.7	3.109	48
50.5	1.807	38
40.6	2.220	37
66.7	1.402	20
40.9	2.205	18
74.1	1.280	17

Crystal structure
```
11
Lattice="7.007 -3.143 0.000 7.007 3.143 0.000 -2.847 0.000 8.348" Properties=species:S:1:pos:R:3 pbc="T T T"
Nd 0.000 0.000 0.000
Nd 4.378 0.000 1.309
Nd 2.886 0.000 5.722
Nd 8.280 0.000 2.626
Nd 6.788 0.000 7.039
Te -0.063 0.000 6.863
Te 1.436 0.000 2.811
Te 5.583 0.000 4.174
Te 9.730 0.000 5.538
Te 11.229 0.000 1.485
P 7.007 0.000 0.000
```


Record 4
Starting from DFT lattice parameters and positions (GGA-PBE), the PXRD pattern of Nd7Te4P4 was computed for Cu Kα X-rays.
No peak broadening, texture or thermal motion is included.

Most intense lines, 10° ≤ 2θ ≤ 90°, by intensity:
2theta	d_spacing	Rel. int.
31.8	2.814	100
35.6	2.523	52
23.6	3.770	40
47.0	1.935	33
30.2	2.964	19
48.3	1.885	13
24.9	3.575	12
69.6	1.350	10

Crystal structure
```
30
Lattice="-7.584 7.584 3.770 7.584 -7.584 3.770 7.584 7.584 -3.770" Properties=species:S:1:pos:R:3 pbc="T T T"
Nd 4.365 0.000 0.000
Nd 10.803 0.000 0.000
Nd 7.584 2.030 0.000
Nd 0.000 0.000 1.833
Nd 4.328 4.328 0.000
Nd 3.256 -3.256 3.770
Nd 0.000 4.365 0.000
Nd 2.030 7.584 0.000
Nd 5.553 0.000 3.770
Nd 0.000 10.803 0.000
Nd -3.256 3.256 3.770
Nd 3.256 3.256 3.770
Nd 0.000 0.000 5.706
Nd 0.000 5.553 3.770
Te 1.935 1.935 0.000
Te 5.648 -5.648 3.770
Te 7.584 5.021 0.000
Te 5.021 7.584 0.000
Te 2.563 0.000 3.770
Te 0.000 2.563 3.770
Te -5.648 5.648 3.770
Te 5.648 5.648 3.770
P 5.396 -2.188 1.885
P 9.772 -2.188 1.885
P 5.396 2.188 1.885
P 9.772 2.188 1.885
P -2.188 5.396 1.885
P 2.188 5.396 1.885
P -2.188 9.772 1.885
P 2.188 9.772 1.885
```


Record 5
Starting from DFT lattice parameters and positions (GGA-PBE), the PXRD pattern of Nd4ThP5 was computed for Cu Kα X-rays.
No peak broadening, texture or thermal motion is included.

Most intense lines, 10° ≤ 2θ ≤ 90°, by intensity:
2theta	d_spacing	Rel. int.
30.4	2.944	100
26.2	3.399	86
43.5	2.082	74
51.5	1.775	43
53.9	1.700	26
71.7	1.317	22
79.8	1.202	21
69.6	1.351	18

Crystal structure
```
10
Lattice="-2.083 2.941 10.409 2.083 -2.941 10.409 2.083 2.941 -10.409" Properties=species:S:1:pos:R:3 pbc="T T T"
Nd 0.000 0.000 2.116
Nd 0.000 0.000 6.220
Nd 0.000 0.000 14.599
Nd 0.000 0.000 18.703
Th 0.000 0.000 10.409
P 2.083 0.000 0.000
P 2.083 0.000 4.169
P 2.083 0.000 8.376
P 0.000 2.941 2.033
P 0.000 2.941 6.240
```


Record 6
Starting from DFT lattice parameters and positions (GGA-PBE), the PXRD pattern of NdU2P3 was computed for Cu Kα X-rays.
No peak broadening, texture or thermal motion is included.

Most intense lines, 10° ≤ 2θ ≤ 90°, by intensity:
2theta	d_spacing	Rel. int.
31.6	2.835	100
27.2	3.276	77
45.2	2.005	49
53.6	1.711	34
27.3	3.268	25
74.9	1.268	23
53.7	1.707	17
83.4	1.159	13

Crystal structure
```
24
Lattice="5.673 0.000 0.000 0.000 12.059 0.000 -0.002 0.000 7.997" Properties=species:S:1:pos:R:3 pbc="T T T"
Nd 1.416 0.962 1.003
Nd 1.415 5.068 5.002
Nd 4.255 6.991 2.995
Nd 4.254 11.097 6.993
U 1.415 1.020 4.972
U 1.416 5.010 0.974
U 1.421 9.002 4.998
U 1.422 9.087 1.000
U 4.249 2.972 6.997
U 4.250 3.057 2.999
U 4.255 7.049 7.023
U 4.256 11.040 3.025
P 1.412 2.990 6.987
P 1.413 3.039 2.989
P 1.419 7.091 2.911
P 1.418 7.094 7.064
P 1.420 10.995 3.066
P 1.418 10.997 6.909
P 4.252 1.062 1.087
P 4.251 1.064 4.931
P 4.252 4.965 0.933
P 4.251 4.968 5.086
P 4.257 9.020 5.008
P 4.258 9.069 1.010
```


Record 7
Starting from DFT lattice parameters and positions (GGA-PBE), the PXRD pattern of Nd3YP4 was computed for Cu Kα X-rays.
No peak broadening, texture or thermal motion is included.

Most intense lines, 10° ≤ 2θ ≤ 90°, by intensity:
2theta	d_spacing	Rel. int.
30.6	2.921	100
43.8	2.065	73
26.4	3.373	72
51.9	1.761	36
72.3	1.306	32
54.4	1.686	25
80.6	1.192	24
70.2	1.340	14

Crystal structure
```
8
Lattice="5.842 0.000 0.000 0.000 5.842 0.000 0.000 0.000 5.842" Properties=species:S:1:pos:R:3 pbc="T T T"
Nd 0.000 0.000 2.921
Nd 0.000 2.921 0.000
Nd 2.921 0.000 0.000
Y 2.921 2.921 2.921
P 0.000 0.000 0.000
P 0.000 2.921 2.921
P 2.921 0.000 2.921
P 2.921 2.921 0.000
```


Record 8
Starting from DFT lattice parameters and positions (GGA-PBE), the PXRD pattern of Nd3YP4 was computed for Cu Kα X-rays.
No peak broadening, texture or thermal motion is included.

Most intense lines, 10° ≤ 2θ ≤ 90°, by intensity:
2theta	d_spacing	Rel. int.
30.6	2.921	100
43.8	2.065	73
26.4	3.373	73
51.9	1.761	36
72.3	1.306	32
54.4	1.686	25
80.6	1.192	24
70.2	1.340	14

Crystal structure
```
8
Lattice="4.130 -5.839 0.000 4.130 5.839 0.000 0.000 0.000 4.133" Properties=species:S:1:pos:R:3 pbc="T T T"
Nd 0.000 0.000 0.000
Nd 2.065 2.920 2.067
Nd 2.065 -2.920 2.067
Y 4.130 0.000 0.000
P 4.130 2.885 0.000
P 2.113 0.000 2.067
P 6.147 0.000 2.067
P 4.130 -2.885 0.000
```


Record 9
Starting from DFT lattice parameters and positions (GGA-PBE), the PXRD pattern of NdYP was computed for Cu Kα X-rays.
No peak broadening, texture or thermal motion is included.

Most intense lines, 10° ≤ 2θ ≤ 90°, by intensity:
2theta	d_spacing	Rel. int.
31.8	2.817	100
45.8	1.981	89
27.5	3.249	85
27.6	3.232	85
32.1	2.786	49
53.9	1.701	26
54.2	1.693	26
54.5	1.683	26

Crystal structure
```
6
Lattice="3.969 0.000 0.000 0.000 5.571 0.000 0.000 0.000 7.999" Properties=species:S:1:pos:R:3 pbc="T T T"
Nd 0.992 1.393 0.987
Nd 2.976 4.179 7.012
Y 0.992 1.393 4.941
Y 2.976 4.179 3.058
P 0.992 4.179 4.988
P 2.976 1.393 3.011
```


Record 10
Starting from DFT lattice parameters and positions (GGA-PBE), the PXRD pattern of Nd2ZrP3 was computed for Cu Kα X-rays.
No peak broadening, texture or thermal motion is included.

Most intense lines, 10° ≤ 2θ ≤ 90°, by intensity:
2theta	d_spacing	Rel. int.
27.1	3.285	100
31.3	2.854	94
45.1	2.009	66
31.6	2.828	45
56.0	1.643	35
44.9	2.018	34
53.3	1.720	32
83.0	1.163	22

Crystal structure
```
6
Lattice="-2.018 2.018 8.483 2.018 -2.018 8.483 2.018 2.018 -8.483" Properties=species:S:1:pos:R:3 pbc="T T T"
Nd 0.000 0.000 2.815
Nd 0.000 0.000 14.151
Zr 0.000 0.000 8.483
P 0.000 0.000 0.000
P 0.000 0.000 5.797
P 0.000 0.000 11.169
```


Record 11
Starting from DFT lattice parameters and positions (GGA-PBE), the PXRD pattern of PmNd2PaRu2 was computed for Cu Kα X-rays.
No peak broadening, texture or thermal motion is included.

Most intense lines, 10° ≤ 2θ ≤ 90°, by intensity:
2theta	d_spacing	Rel. int.
36.4	2.469	100
29.1	3.065	78
28.4	3.144	76
32.1	2.792	74
13.1	6.771	46
14.1	6.287	34
37.3	2.412	32
36.7	2.450	31

Crystal structure
```
12
Lattice="-3.549 6.771 3.438 3.549 -6.771 3.438 3.549 6.771 -3.438" Properties=species:S:1:pos:R:3 pbc="T T T"
Pm 0.000 0.000 1.719
Pm 0.000 0.000 5.156
Nd 5.037 2.646 0.000
Nd 1.487 4.125 0.000
Nd 2.062 2.646 3.438
Nd -1.487 4.125 3.438
Pa 3.549 0.000 1.719
Pa 0.000 6.771 1.719
Ru 2.088 1.286 0.000
Ru 2.088 -1.286 3.438
Ru 1.461 8.057 0.000
Ru 1.461 5.485 3.438
```


Record 12
Starting from DFT lattice parameters and positions (GGA-PBE), the PXRD pattern of Nd2PaPt3 was computed for Cu Kα X-rays.
No peak broadening, texture or thermal motion is included.

Most intense lines, 10° ≤ 2θ ≤ 90°, by intensity:
2theta	d_spacing	Rel. int.
30.4	2.940	100
43.5	2.079	50
71.8	1.315	22
54.2	1.691	14
53.8	1.704	13
43.8	2.067	13
43.3	2.091	12
63.3	1.470	12

Crystal structure
```
24
Lattice="0.000 5.881 12.402 4.182 0.000 12.402 4.182 5.881 0.000" Properties=species:S:1:pos:R:3 pbc="T T T"
Nd 1.045 1.470 1.059
Nd 3.136 4.411 3.091
Nd 1.045 1.470 5.142
Nd 5.227 7.352 9.292
Nd 3.136 4.411 15.512
Nd 7.318 10.292 19.663
Nd 5.227 7.352 21.714
Nd 7.318 10.292 23.746
Pa 3.136 4.411 7.222
Pa 3.136 4.411 11.381
Pa 5.227 7.352 13.423
Pa 5.227 7.352 17.583
Pt 3.203 1.575 7.145
Pt 5.061 4.411 9.302
Pt 3.069 1.575 11.458
Pt 5.160 4.515 13.347
Pt 7.152 7.352 15.503
Pt 5.294 4.515 17.659
Pt 3.069 7.247 7.145
Pt 1.212 4.411 9.302
Pt 3.203 7.247 11.458
Pt 5.294 10.188 13.347
Pt 3.302 7.352 15.503
Pt 5.160 10.188 17.659
```